Computed powder X-ray diffraction pattern of LiP3W2O12 for CuKα, from the PBE+U geometry in the Materials Project.
Intensities are scaled so that the largest is 100.

Main lines, in order of rising 2θ (15 to 90 degrees two-theta):
2theta  d_spacing  intensity  (hkl)
19.41  4.573  50  0 1 1
19.52  4.547  100  1 0 -2
20.31  4.372  40  1 1 -1
20.57  4.319  90  1 -2 0
28.26  3.158  26  2 0 0
28.38  3.145  29  0 2 -2
28.61  3.120  27  -2 2 2
31.22  2.865  52  2 -1 1
35.44  2.533  26  3 -2 0
35.72  2.514  30  0 3 -1

Unit cell a=8.632 b=8.644 c=9.118 alpha=90.41 beta=118.22 gamma=119.18
Space group P-1 (No. 2)
Inequivalent atoms, fractional coordinates:
Li 0.151 0.186 0.419 [2 per cell]
P 0.211 0.742 0.751 [2 per cell]
P 0.217 0.973 0.252 [2 per cell]
P 0.494 0.459 0.747 [2 per cell]
W 0.297 0.140 0.931 [2 per cell]
W 0.297 0.647 0.438 [2 per cell]
O 0.000 0.091 0.778 [2 per cell]
O 0.033 0.544 0.711 [2 per cell]
O 0.142 0.879 0.746 [2 per cell]
O 0.214 0.995 0.084 [2 per cell]
O 0.274 0.832 0.306 [2 per cell]
O 0.277 0.760 0.618 [2 per cell]
O 0.325 0.457 0.570 [2 per cell]
O 0.329 0.524 0.271 [2 per cell]
O 0.362 0.261 0.757 [2 per cell]
O 0.368 0.162 0.401 [2 per cell]
O 0.408 0.806 0.935 [2 per cell]
O 0.410 0.388 0.097 [2 per cell]

***

Computed powder X-ray diffraction pattern of LiP4WO12 for CuKα, from the PBE+U geometry in the Materials Project.
Intensities are scaled so that the largest is 100.

Main lines, in order of rising 2θ (15 to 90 degrees two-theta):
2theta  d_spacing  intensity  (hkl)
17.47  5.077  37  0 2 1
19.57  4.535  27  1 0 -1
20.97  4.235  58  1 2 0
22.54  3.944  23  1 1 1
23.35  3.809  100  1 2 -1
24.21  3.676  58  0 0 2
25.12  3.545  44  1 2 1
30.53  2.928  50  1 4 0
32.25  2.775  34  1 4 -1
33.58  2.669  40  1 2 2

Unit cell a=5.340 b=14.038 c=7.392 alpha=90.00 beta=95.97 gamma=90.00
Space group P2_1 (No. 4)
Inequivalent atoms, fractional coordinates:
Li 0.126 0.000 0.103 [2 per cell]
P 0.285 0.810 0.892 [2 per cell]
P 0.364 0.163 0.903 [2 per cell]
P 0.466 0.585 0.441 [2 per cell]
P 0.492 0.369 0.445 [2 per cell]
W 0.012 0.226 0.505 [2 per cell]
O 0.121 0.741 0.777 [2 per cell]
O 0.137 0.201 0.787 [2 per cell]
O 0.163 0.889 0.980 [2 per cell]
O 0.200 0.593 0.490 [2 per cell]
O 0.227 0.357 0.492 [2 per cell]
O 0.305 0.814 0.444 [2 per cell]
O 0.322 0.104 0.063 [2 per cell]
O 0.341 0.147 0.454 [2 per cell]
O 0.431 0.979 0.523 [2 per cell]
O 0.454 0.752 0.047 [2 per cell]
O 0.464 0.599 0.225 [2 per cell]
O 0.499 0.353 0.231 [2 per cell]

***

Computed powder X-ray diffraction pattern of LiP4WO12 for CuKα, from the PBE+U geometry in the Materials Project.
Intensities are scaled so that the largest is 100.

Main lines, in order of rising 2θ (15 to 90 degrees two-theta):
2theta  d_spacing  intensity  (hkl)
15.51  5.713  52  0 1 1
16.19  5.475  100  1 1 0
16.50  5.372  49  1 0 -1
18.43  4.813  43  1 0 1
19.89  4.463  47  0 2 0
27.25  3.273  83  1 2 1
27.82  3.207  50  1 1 -2
28.99  3.080  46  2 1 -1
31.30  2.858  45  2 1 1
32.74  2.735  38  1 3 0

Unit cell a=6.973 b=8.926 c=7.481 alpha=90.00 beta=96.30 gamma=90.00
Space group P2_1 (No. 4)
Inequivalent atoms, fractional coordinates:
Li 0.197 0.000 0.319 [2 per cell]
P 0.075 0.537 0.383 [2 per cell]
P 0.076 0.871 0.947 [2 per cell]
P 0.427 0.686 0.911 [2 per cell]
P 0.463 0.402 0.395 [2 per cell]
W 0.245 0.337 0.756 [2 per cell]
O 0.001 0.690 0.332 [2 per cell]
O 0.043 0.913 0.735 [2 per cell]
O 0.065 0.495 0.580 [2 per cell]
O 0.121 0.326 0.006 [2 per cell]
O 0.183 0.984 0.064 [2 per cell]
O 0.201 0.721 0.924 [2 per cell]
O 0.293 0.525 0.330 [2 per cell]
O 0.359 0.982 0.535 [2 per cell]
O 0.372 0.292 0.514 [2 per cell]
O 0.427 0.536 0.820 [2 per cell]
O 0.464 0.203 0.907 [2 per cell]
O 0.496 0.316 0.212 [2 per cell]

***

Question: What is the formula in the first record?
Answer: LiP3W2O12